Computed powder X-ray diffraction pattern
Compound: Tl2AgI3
Radiation: λ = 1.5418 Å (Cu Kα)
Structure: a crystal structure in Alexandria, relaxed with GGA-PBE

Principal peaks in the range 2θ = 15–90°, in order of rising 2θ:
d 4.174, I = 23
d 3.345, I = 28
d 3.302, I = 100
d 3.084, I = 89
d 2.869, I = 70
d 2.835, I = 83
d 2.482, I = 21
d 2.087, I = 23
d 2.039, I = 26
d 2.019, I = 18

Cell and atoms:
```
Tl2AgI3
1.0
5.3414 3.0839 6.6908
-5.3414 3.0839 6.6908
0.0000 -6.1677 6.6908
Tl Ag I
6 3 9
Direct
0.1114 0.4468 0.6723 Tl
0.3277 0.8886 0.5532 Tl
0.4468 0.6723 0.1114 Tl
0.5532 0.3277 0.8886 Tl
0.6723 0.1114 0.4468 Tl
0.8886 0.5532 0.3277 Tl
0.0000 0.0000 0.0000 Ag
0.1553 0.1553 0.1553 Ag
0.8447 0.8447 0.8447 Ag
0.0888 0.8467 0.3323 I
0.1533 0.6677 0.9112 I
0.2946 0.2946 0.2946 I
0.3323 0.0888 0.8467 I
0.5000 0.5000 0.5000 I
0.6677 0.9112 0.1533 I
0.7054 0.7054 0.7054 I
0.8467 0.3323 0.0888 I
0.9112 0.1533 0.6677 I
```

=====

Computed powder X-ray diffraction pattern
Compound: LaNdY3Er
Radiation: λ = 1.5418 Å (Cu Kα)
Structure: a crystal structure in Alexandria, relaxed with GGA-PBE

Principal peaks in the range 2θ = 15–90°, in order of rising 2θ:
d 2.956, I = 57
d 2.828, I = 100
d 2.090, I = 21
d 1.920, I = 8
d 1.681, I = 42
d 1.610, I = 18
d 1.414, I = 11
d 1.322, I = 9
d 1.310, I = 9
d 1.110, I = 11

Cell and atoms:
```
LaNdY3Er
1.0
2.9556 -5.7611 0.0000
2.9556 5.7611 0.0000
0.0000 0.0000 11.8252
La Nd Y Er
2 2 6 2
Direct
0.0049 0.9951 0.7500 La
0.9951 0.0049 0.2500 La
0.5000 0.5000 0.0000 Nd
0.5000 0.5000 0.5000 Nd
0.1744 0.8256 0.0041 Y
0.1744 0.8256 0.4959 Y
0.3263 0.6737 0.7500 Y
0.6737 0.3263 0.2500 Y
0.8256 0.1744 0.5041 Y
0.8256 0.1744 0.9959 Y
0.3304 0.6696 0.2500 Er
0.6696 0.3304 0.7500 Er
```

=====

Computed powder X-ray diffraction pattern
Compound: RbHCO2
Radiation: λ = 1.5418 Å (Cu Kα)
Structure: a crystal structure in Alexandria, relaxed with GGA-PBE

Principal peaks in the range 2θ = 15–90°, in order of rising 2θ:
d 4.704, I = 72
d 3.327, I = 30
d 2.942, I = 100
d 2.810, I = 18
d 2.495, I = 56
d 2.346, I = 15
d 2.287, I = 16
d 2.101, I = 15
d 1.885, I = 16
d 1.835, I = 12

Cell and atoms:
```
RbHCO2
1.0
4.7168 0.0000 0.0000
0.0000 9.3849 0.0000
0.0000 0.0000 7.5423
Rb H C O
4 4 4 8
Direct
0.0691 0.2500 0.0000 Rb
0.0691 0.2500 0.5000 Rb
0.9309 0.7500 0.0000 Rb
0.9309 0.7500 0.5000 Rb
0.4373 0.5258 0.2500 H
0.4373 0.9742 0.7500 H
0.5627 0.0258 0.2500 H
0.5627 0.4742 0.7500 H
0.3809 0.5511 0.7500 C
0.3809 0.9489 0.2500 C
0.6191 0.0511 0.7500 C
0.6191 0.4489 0.2500 C
0.1331 0.0022 0.2500 O
0.1331 0.4978 0.7500 O
0.4435 0.6828 0.7500 O
0.4435 0.8172 0.2500 O
0.5565 0.1828 0.7500 O
0.5565 0.3172 0.2500 O
0.8669 0.5022 0.2500 O
0.8669 0.9978 0.7500 O
```

=====

Computed powder X-ray diffraction pattern
Compound: LaIr
Radiation: λ = 1.5418 Å (Cu Kα)
Structure: a crystal structure in Alexandria, relaxed with GGA-PBE

Principal peaks in the range 2θ = 15–90°, in order of rising 2θ:
d 4.640, I = 47
d 3.043, I = 81
d 2.755, I = 78
d 2.722, I = 100
d 2.190, I = 55
d 2.042, I = 53
d 1.936, I = 75
d 1.643, I = 32
d 1.255, I = 24
d 1.250, I = 20

Cell and atoms:
```
LaIr
1.0
8.6072 0.0000 0.0000
0.0000 8.6072 0.0000
0.0000 0.0000 5.5091
La Ir
8 8
Direct
0.0668 0.7070 0.0000 La
0.2081 0.4238 0.5000 La
0.2930 0.0668 0.0000 La
0.4238 0.7919 0.5000 La
0.5762 0.2081 0.5000 La
0.7070 0.9332 0.0000 La
0.7919 0.5762 0.5000 La
0.9332 0.2930 0.0000 La
0.0557 0.7812 0.5000 Ir
0.2188 0.0557 0.5000 Ir
0.2902 0.4480 0.0000 Ir
0.4480 0.7098 0.0000 Ir
0.5520 0.2902 0.0000 Ir
0.7098 0.5520 0.0000 Ir
0.7812 0.9443 0.5000 Ir
0.9443 0.2188 0.5000 Ir
```

=====

Computed powder X-ray diffraction pattern
Compound: Hf2Ni3Rh3
Radiation: λ = 1.5418 Å (Cu Kα)
Structure: a crystal structure in Alexandria, relaxed with GGA-PBE

Principal peaks in the range 2θ = 15–90°, in order of rising 2θ:
d 3.896, I = 10
d 2.224, I = 100
d 1.948, I = 17
d 1.936, I = 16
d 1.895, I = 15
d 1.373, I = 10
d 1.171, I = 12
d 1.166, I = 12
d 1.148, I = 12
d 1.112, I = 11

Cell and atoms:
```
Hf2Ni3Rh3
1.0
3.8718 0.0000 0.0000
0.0000 3.8956 0.0000
0.0000 0.0000 7.5796
Hf Ni Rh
2 3 3
Direct
0.0000 0.0000 0.2476 Hf
0.0000 0.0000 0.7524 Hf
0.0000 0.5000 0.0000 Ni
0.5000 0.5000 0.2452 Ni
0.5000 0.5000 0.7548 Ni
0.0000 0.5000 0.5000 Rh
0.5000 0.0000 0.0000 Rh
0.5000 0.0000 0.5000 Rh
```

=====

Computed powder X-ray diffraction pattern
Compound: UZnNi6
Radiation: λ = 1.5418 Å (Cu Kα)
Structure: a crystal structure in Alexandria, relaxed with GGA-PBE

Principal peaks in the range 2θ = 15–90°, in order of rising 2θ:
d 3.754, I = 13
d 3.325, I = 17
d 2.592, I = 10
d 2.489, I = 9
d 2.133, I = 100
d 1.877, I = 33
d 1.791, I = 14
d 1.327, I = 10
d 1.296, I = 19
d 1.127, I = 24

Cell and atoms:
```
UZnNi6
1.0
3.7542 0.0000 0.0000
0.0000 3.7542 0.0000
0.0000 0.0000 7.1657
U Zn Ni
1 1 6
Direct
0.0000 0.0000 0.0000 U
0.0000 0.0000 0.5000 Zn
0.0000 0.5000 0.2553 Ni
0.0000 0.5000 0.7447 Ni
0.5000 0.0000 0.2553 Ni
0.5000 0.0000 0.7447 Ni
0.5000 0.5000 0.0000 Ni
0.5000 0.5000 0.5000 Ni
```

=====

Computed powder X-ray diffraction pattern
Compound: Ca2ZnCd3
Radiation: λ = 1.5418 Å (Cu Kα)
Structure: a crystal structure in Alexandria, relaxed with GGA-PBE

Principal peaks in the range 2θ = 15–90°, in order of rising 2θ:
d 4.232, I = 25
d 3.689, I = 44
d 2.781, I = 100
d 2.449, I = 34
d 2.440, I = 67
d 2.041, I = 17
d 2.035, I = 34
d 1.837, I = 19
d 1.471, I = 34
d 1.466, I = 17

Cell and atoms:
```
Ca2ZnCd3
1.0
0.0000 4.8989 8.4412
3.6893 0.0000 8.4412
3.6893 4.8989 0.0000
Ca Zn Cd
4 2 6
Direct
0.2500 0.2500 0.2500 Ca
0.2502 0.7498 0.7498 Ca
0.7498 0.2502 0.2502 Ca
0.7500 0.7500 0.7500 Ca
0.1663 0.1663 0.8337 Zn
0.8337 0.8337 0.1663 Zn
0.1585 0.6706 0.3294 Cd
0.3292 0.3292 0.6708 Cd
0.3294 0.8415 0.1585 Cd
0.6706 0.1585 0.8415 Cd
0.6708 0.6708 0.3292 Cd
0.8415 0.3294 0.6706 Cd
```

=====

Computed powder X-ray diffraction pattern
Compound: Cs5Hg5Pd2
Radiation: λ = 1.5418 Å (Cu Kα)
Structure: a crystal structure in Alexandria, relaxed with GGA-PBE

Principal peaks in the range 2θ = 15–90°, in order of rising 2θ:
d 3.532, I = 100
d 3.367, I = 57
d 3.320, I = 38
d 3.242, I = 33
d 3.072, I = 40
d 2.703, I = 53
d 2.511, I = 32
d 2.485, I = 43
d 1.818, I = 30
d 1.766, I = 39

Cell and atoms:
```
Cs5Hg5Pd2
1.0
9.3725 -2.4855 0.0000
9.3725 2.4855 0.0000
-8.3186 0.0000 11.2261
Cs Hg Pd
5 5 2
Direct
0.0000 0.0000 0.0000 Cs
0.3057 0.3057 0.4247 Cs
0.3795 0.3795 0.1751 Cs
0.6205 0.6205 0.8249 Cs
0.6943 0.6943 0.5753 Cs
0.0000 0.0000 0.5000 Hg
0.0689 0.0689 0.3144 Hg
0.3037 0.3037 0.8362 Hg
0.6963 0.6963 0.1638 Hg
0.9311 0.9311 0.6856 Hg
0.3917 0.3917 0.7337 Pd
0.6083 0.6083 0.2663 Pd
```